# PmCoNiH6
Simulated X-ray powder pattern, Cu Kα X-rays. Input: a GGA-PBE-relaxed structure.
No peak broadening, texture or thermal motion is included.

Top 10 peaks for 2θ = 10–90°, in order of rising 2θ:
hkl, two_theta, I (rel.)
1 0 0, 23.15, 15
1 0 1, 31.62, 100
1 1 0, 40.67, 42
0 0 2, 43.27, 11
2 0 1, 52.41, 24
1 1 2, 60.88, 25
2 1 1, 68.37, 21
1 0 3, 72.08, 9
3 0 0, 74.00, 7
3 0 2, 89.79, 8

Atomic structure:
a = 4.4374 Å, b = 4.4374 Å, c = 4.1815 Å
α = 90.00°, β = 90.00°, γ = 120.00°
Space group P-6m2 (No. 187)
Inequivalent atoms, fractional coordinates:
Pm (0.0000, 0.0000, 0.0000) x1
Co (0.6667, 0.3333, 0.5000) x1
Ni (0.3333, 0.6667, 0.5000) x1
H (0.5048, 0.0096, 0.2544) x6

***

# Mg6Bi5Pb
Simulated X-ray powder pattern, Cu Kα X-rays. Input: a GGA-PBE-relaxed structure.
No peak broadening, texture or thermal motion is included.

Top 10 peaks for 2θ = 10–90°, in order of rising 2θ:
hkl, two_theta, I (rel.)
0 0 2, 20.23, 100
1 -1 0, 26.11, 55
1 2 0, 26.32, 54
1 2 2, 29.62, 66
-1 1 2, 29.86, 65
0 3 2, 31.84, 32
0 3 0, 32.27, 52
1 -1 2, 36.36, 39
1 2 -2, 36.87, 38
2 -2 0, 53.68, 28

Atomic structure:
a = 4.3025 Å, b = 9.0877 Å, c = 9.3215 Å
α = 70.75°, β = 89.29°, γ = 76.51°
Space group P-1 (No. 2)
Inequivalent atoms, fractional coordinates:
Mg (0.0048, 0.4930, 0.2554) x2
Mg (0.3321, 0.8341, 0.2339) x2
Mg (0.3369, 0.8238, 0.7467) x2
Bi (0.1594, 0.1838, 0.0033) x2
Bi (0.1684, 0.1623, 0.5100) x2
Bi (0.5000, 0.5000, 0.5000) x1
Pb (0.5000, 0.5000, 0.0000) x1

***

# Nd2NiH6Ru
Simulated X-ray powder pattern, Cu Kα X-rays. Input: a GGA-PBE-relaxed structure.
No peak broadening, texture or thermal motion is included.

Top 10 peaks for 2θ = 10–90°, in order of rising 2θ:
hkl, two_theta, I (rel.)
1 1 0, 24.15, 5
2 0 0, 34.35, 100
0 0 4, 49.19, 6
2 2 0, 49.46, 12
2 0 4, 61.41, 12
3 1 2, 61.59, 24
2 2 4, 72.33, 8
4 0 0, 72.55, 4
1 1 6, 82.35, 5
4 2 0, 82.80, 10

Atomic structure:
a = 5.2119 Å, b = 5.2119 Å, c = 7.4097 Å
α = 90.00°, β = 90.00°, γ = 90.00°
Space group I4/mmm (No. 139)
Inequivalent atoms, fractional coordinates:
Nd (0.0000, 0.5000, 0.2500) x4
Ni (0.0000, 0.0000, 0.0000) x2
H (0.0000, 0.0000, 0.2519) x4
H (0.2487, 0.2487, 0.5000) x8
Ru (0.0000, 0.0000, 0.5000) x2